Starting from a GGA-PBE-relaxed structure, the powder X-ray diffraction pattern of Ce4PrN5 was calculated for Cu Kα.
No peak broadening, texture or thermal motion is included.

Crystal structure
Lattice parameters (Å, degrees): 12.904 12.904 12.904 163.96 163.96 22.76
Positions (direct):
Ce (0.101, 0.101, 0.000)
Ce (0.300, 0.300, 0.000)
Ce (0.700, 0.700, 0.000)
Ce (0.899, 0.899, 0.000)
Pr (0.500, 0.500, 0.000)
N (0.000, 0.000, 0.000)
N (0.200, 0.200, 0.000)
N (0.397, 0.397, 0.000)
N (0.603, 0.603, 0.000)
N (0.800, 0.800, 0.000)

Most intense lines, 10 to 80 degrees two-theta, low angle first:
2θ (°), Rel. int.
30.47, 100
35.25, 51
35.48, 25
50.71, 17
50.88, 34
60.32, 30
60.62, 15
63.41, 17
74.54, 5
75.09, 3